Entry 1:
Ac12SmCo6: simulated powder XRD pattern (Cu Kα (λ = 1.5418 Å)), based on the GGA-PBE geometry in Alexandria.
Kinematic intensities with the Lorentz-polarization factor, no thermal factor.

The 10 most intense peaks (2θ = 10–90°), in order of rising 2θ:
d [Å], two_theta, I (rel.)
3.383, 26.34, 78
3.088, 28.91, 45
2.859, 31.28, 100
2.098, 43.11, 26
1.835, 49.69, 46
1.736, 52.74, 43
1.513, 61.27, 18
1.279, 74.15, 19
1.261, 75.39, 21
1.244, 76.61, 20

Unit cell a=9.265 b=9.265 c=9.265 alpha=109.47 beta=109.47 gamma=109.47
Fractional coordinates of all 19 atoms:
Ac 0.124 0.810 0.315
Ac 0.190 0.315 0.505
Ac 0.190 0.685 0.876
Ac 0.315 0.124 0.810
Ac 0.315 0.505 0.190
Ac 0.495 0.810 0.685
Ac 0.505 0.190 0.315
Ac 0.685 0.495 0.810
Ac 0.685 0.876 0.190
Ac 0.810 0.315 0.124
Ac 0.810 0.685 0.495
Ac 0.876 0.190 0.685
Sm 0.000 0.000 0.000
Co 0.107 0.607 0.500
Co 0.393 0.500 0.893
Co 0.500 0.107 0.607
Co 0.500 0.893 0.393
Co 0.607 0.500 0.107
Co 0.893 0.393 0.500

=====

Entry 2:
DyTl2Br6: simulated powder XRD pattern (Cu Kα (λ = 1.5418 Å)), based on the GGA-PBE geometry in Alexandria.
Kinematic intensities with the Lorentz-polarization factor, no thermal factor.

The 10 most intense peaks (2θ = 10–90°), in order of rising 2θ:
d [Å], two_theta, I (rel.)
4.592, 19.33, 99
3.029, 29.49, 76
2.880, 31.05, 73
2.748, 32.58, 61
2.738, 32.70, 100
2.489, 36.09, 51
2.440, 36.84, 35
2.373, 37.91, 41
2.273, 39.66, 44
2.015, 45.00, 36

Unit cell a=4.029 b=9.240 c=9.240 alpha=126.10 beta=90.00 gamma=90.00
Fractional coordinates of all 9 atoms:
Dy 0.000 0.000 0.000
Tl 0.500 0.364 0.691
Tl 0.500 0.691 0.364
Br 0.000 0.047 0.463
Br 0.000 0.463 0.047
Br 0.000 0.642 0.642
Br 0.500 0.033 0.800
Br 0.500 0.256 0.256
Br 0.500 0.800 0.033

=====

Entry 3:
Ca2CeSn3: simulated powder XRD pattern (Cu Kα (λ = 1.5418 Å)), based on the GGA-PBE geometry in Alexandria.
Kinematic intensities with the Lorentz-polarization factor, no thermal factor.

The 10 most intense peaks (2θ = 10–90°), in order of rising 2θ:
d [Å], two_theta, I (rel.)
2.783, 32.16, 100
2.501, 35.91, 19
2.492, 36.04, 18
2.262, 39.85, 14
1.765, 51.79, 13
1.676, 54.76, 22
1.492, 62.20, 15
1.489, 62.37, 15
1.392, 67.28, 12
1.387, 67.54, 12

Unit cell a=7.905 b=7.905 c=9.049 alpha=90.00 beta=90.00 gamma=143.25
Fractional coordinates of all 12 atoms:
Ca 0.000 0.000 0.000
Ca 0.000 0.000 0.500
Ca 0.335 0.665 0.000
Ca 0.665 0.335 0.000
Ce 0.332 0.668 0.500
Ce 0.668 0.332 0.500
Sn 0.166 0.834 0.250
Sn 0.166 0.834 0.750
Sn 0.500 0.500 0.252
Sn 0.500 0.500 0.748
Sn 0.834 0.166 0.250
Sn 0.834 0.166 0.750

=====

Entry 4:
Ac8SnBi5: simulated powder XRD pattern (Cu Kα (λ = 1.5418 Å)), based on the GGA-PBE geometry in Alexandria.
Kinematic intensities with the Lorentz-polarization factor, no thermal factor.

The 10 most intense peaks (2θ = 10–90°), in order of rising 2θ:
d [Å], two_theta, I (rel.)
3.242, 27.52, 100
2.740, 32.68, 67
2.186, 41.31, 10
2.092, 43.24, 17
2.013, 45.05, 8
2.009, 45.12, 17
1.666, 55.14, 10
1.662, 55.29, 19
1.583, 58.30, 11
1.394, 67.17, 8

Unit cell a=8.878 b=8.878 c=8.878 alpha=109.57 beta=109.57 gamma=109.28
Fractional coordinates of all 14 atoms:
Ac 0.120 0.234 0.746
Ac 0.121 0.728 0.747
Ac 0.272 0.019 0.392
Ac 0.488 0.374 0.254
Ac 0.626 0.880 0.114
Ac 0.627 0.879 0.608
Ac 0.766 0.512 0.886
Ac 0.981 0.373 0.253
Sn 0.750 0.250 0.500
Bi 0.000 0.000 0.000
Bi 0.250 0.623 0.127
Bi 0.377 0.504 0.627
Bi 0.496 0.123 0.873
Bi 0.877 0.750 0.373

=====

Entry 5:
SrLi10Hg3: simulated powder XRD pattern (Cu Kα (λ = 1.5418 Å)), based on the GGA-PBE geometry in Alexandria.
Kinematic intensities with the Lorentz-polarization factor, no thermal factor.

The 10 most intense peaks (2θ = 10–90°), in order of rising 2θ:
d [Å], two_theta, I (rel.)
3.993, 22.26, 100
3.458, 25.76, 51
2.445, 36.75, 43
2.086, 43.39, 52
1.997, 45.42, 14
1.587, 58.13, 19
1.547, 59.79, 16
1.412, 66.19, 13
1.331, 70.78, 13
1.169, 82.50, 12

Unit cell a=9.782 b=9.782 c=9.782 alpha=60.00 beta=60.00 gamma=60.00
Fractional coordinates of all 28 atoms:
Sr 0.250 0.250 0.250
Sr 0.750 0.750 0.750
Li 0.000 0.000 0.345
Li 0.000 0.000 0.655
Li 0.000 0.345 0.000
Li 0.000 0.345 0.655
Li 0.000 0.655 0.000
Li 0.000 0.655 0.345
Li 0.173 0.609 0.609
Li 0.345 0.000 0.000
Li 0.345 0.000 0.655
Li 0.345 0.655 0.000
Li 0.391 0.391 0.391
Li 0.391 0.391 0.827
Li 0.391 0.827 0.391
Li 0.609 0.173 0.609
Li 0.609 0.609 0.173
Li 0.609 0.609 0.609
Li 0.655 0.000 0.000
Li 0.655 0.000 0.345
Li 0.655 0.345 0.000
Li 0.827 0.391 0.391
Hg 0.267 0.267 0.733
Hg 0.267 0.733 0.267
Hg 0.267 0.733 0.733
Hg 0.733 0.267 0.267
Hg 0.733 0.267 0.733
Hg 0.733 0.733 0.267

=====

Entry 6:
Ba5TmBi4: simulated powder XRD pattern (Cu Kα (λ = 1.5418 Å)), based on the GGA-PBE geometry in Alexandria.
Kinematic intensities with the Lorentz-polarization factor, no thermal factor.

The 10 most intense peaks (2θ = 10–90°), in order of rising 2θ:
d [Å], two_theta, I (rel.)
8.440, 10.48, 20
4.048, 21.96, 16
3.490, 25.52, 49
3.343, 26.66, 100
2.633, 34.05, 77
2.495, 36.00, 26
2.305, 39.07, 18
2.030, 44.65, 22
1.924, 47.25, 16
1.466, 63.47, 19

Unit cell a=11.705 b=11.705 c=9.222 alpha=113.14 beta=113.14 gamma=24.61
Fractional coordinates of all 10 atoms:
Ba 0.000 0.000 0.000
Ba 0.335 0.335 0.586
Ba 0.336 0.336 0.084
Ba 0.664 0.664 0.916
Ba 0.665 0.665 0.414
Tm 0.000 0.000 0.500
Bi 0.193 0.193 0.693
Bi 0.500 0.500 0.277
Bi 0.500 0.500 0.723
Bi 0.807 0.807 0.307

=====

Entry 7:
Mg7SnAu4: simulated powder XRD pattern (Cu Kα (λ = 1.5418 Å)), based on the GGA-PBE geometry in Alexandria.
Kinematic intensities with the Lorentz-polarization factor, no thermal factor.

The 10 most intense peaks (2θ = 10–90°), in order of rising 2θ:
d [Å], two_theta, I (rel.)
4.637, 19.14, 46
3.376, 26.40, 35
3.317, 26.88, 100
3.261, 27.35, 22
2.859, 31.29, 26
2.565, 34.98, 60
2.367, 38.02, 39
2.286, 39.42, 36
2.274, 39.63, 40
2.174, 41.54, 22

Unit cell a=7.255 b=7.255 c=9.156 alpha=124.19 beta=124.19 gamma=41.40
Fractional coordinates of all 12 atoms:
Mg 0.000 0.000 0.000
Mg 0.206 0.206 0.651
Mg 0.284 0.284 0.123
Mg 0.439 0.439 0.622
Mg 0.561 0.561 0.378
Mg 0.716 0.716 0.877
Mg 0.794 0.794 0.349
Sn 0.500 0.500 0.000
Au 0.063 0.063 0.759
Au 0.200 0.200 0.344
Au 0.800 0.800 0.656
Au 0.937 0.937 0.241

=====

Entry 8:
GeP: simulated powder XRD pattern (Cu Kα (λ = 1.5418 Å)), based on the GGA-PBE geometry in Alexandria.
Kinematic intensities with the Lorentz-polarization factor, no thermal factor.

The 10 most intense peaks (2θ = 10–90°), in order of rising 2θ:
d [Å], two_theta, I (rel.)
8.232, 10.75, 84
4.116, 21.59, 36
3.146, 28.37, 100
3.072, 29.07, 15
2.821, 31.72, 39
2.359, 38.16, 27
1.949, 46.61, 46
1.832, 49.78, 73
1.673, 54.88, 15
1.523, 60.82, 13

Unit cell a=6.340 b=3.664 c=8.497 alpha=90.00 beta=104.34 gamma=90.00
Fractional coordinates of all 8 atoms:
Ge 0.050 0.000 0.151
Ge 0.450 0.500 0.849
Ge 0.550 0.500 0.151
Ge 0.950 0.000 0.849
P 0.241 0.000 0.721
P 0.259 0.500 0.279
P 0.741 0.500 0.721
P 0.759 0.000 0.279